This entry pairs a crystal structure of VAg3O4 with its simulated X-ray powder pattern. Radiation: Cu Ka. Structure: DFT lattice parameters and positions (PBE+U).

Most intense lines, 10 to 80 degrees two-theta, in order of falling intensity:
| h k l | 2θ/deg | d (Å) | I_rel |
| --- | --- | --- | --- |
| 1 1 2 | 30.7 | 2.909 | 100 |
| 2 0 4 | 51.4 | 1.778 | 26 |
| 3 1 2 | 60.8 | 1.523 | 25 |
| 2 0 0 | 35.5 | 2.529 | 24 |
| 2 2 0 | 51.1 | 1.788 | 13 |
| 1 1 6 | 61.4 | 1.511 | 12 |
| 0 0 4 | 35.9 | 2.500 | 12 |
| 2 2 4 | 64.0 | 1.454 | 9 |
| 4 0 0 | 75.1 | 1.264 | 4 |
| 2 1 1 | 40.9 | 2.206 | 4 |

Cell and atoms:
a b c (Å): 5.057 5.057 10.000
angles (deg): 90.00 90.00 90.00
Space group I-42m (No. 121)
Unique sites:
V1 0.000 0.000 0.000 x2
Ag1 0.000 0.000 0.500 x2
Ag2 0.000 0.500 0.250 x4
O1 0.201 0.201 0.899 x8